# 1
Diffraction record for Sm2Cl4O. The X-ray powder pattern is simulated, not measured: it uses a structure optimized by DFT (PBE) and Cu Kα (λ = 1.5418 Å).
Neutral-atom scattering factors, no anomalous dispersion.

Crystal structure
a b c (Å): 8.346 8.346 6.387
angles (deg): 97.92 97.92 44.65
Fractional coordinates of all 14 atoms:
Sm (0.094, 0.732, 0.949)
Sm (0.268, 0.906, 0.551)
Sm (0.732, 0.094, 0.449)
Sm (0.906, 0.268, 0.051)
Cl (0.139, 0.276, 0.805)
Cl (0.276, 0.139, 0.305)
Cl (0.299, 0.523, 0.558)
Cl (0.477, 0.701, 0.942)
Cl (0.523, 0.299, 0.058)
Cl (0.701, 0.477, 0.442)
Cl (0.724, 0.861, 0.695)
Cl (0.861, 0.724, 0.195)
O (0.029, 0.971, 0.250)
O (0.971, 0.029, 0.750)

Most intense lines, 2θ = 15–90°, in order of rising 2θ:
- 5.856 Å, 15.1°, I 49.4
- 4.177 Å, 21.3°, I 100.0
- 3.552 Å, 25.1°, I 65.4
- 3.197 Å, 27.9°, I 61.3
- 3.085 Å, 28.9°, I 39.3
- 2.716 Å, 33.0°, I 34.9
- 2.656 Å, 33.7°, I 36.6
- 2.600 Å, 34.5°, I 78.2
- 2.545 Å, 35.3°, I 43.0
- 2.352 Å, 38.3°, I 40.8

=====

# 2
Diffraction record for Sm4Cl4O3. The X-ray powder pattern is simulated, not measured: it uses a structure optimized by DFT (PBE) and Cu Kα (λ = 1.5418 Å).
Neutral-atom scattering factors, no anomalous dispersion.

Crystal structure
a b c (Å): 3.919 7.868 6.846
angles (deg): 90.00 90.00 90.00
Fractional coordinates of all 11 atoms:
Sm (0.000, 0.000, 0.000)
Sm (0.000, 0.500, 0.012)
Sm (0.500, 0.250, 0.652)
Sm (0.500, 0.750, 0.652)
Cl (0.000, 0.000, 0.456)
Cl (0.000, 0.500, 0.468)
Cl (0.500, 0.252, 0.196)
Cl (0.500, 0.748, 0.196)
O (0.000, 0.258, 0.829)
O (0.000, 0.742, 0.829)
O (0.500, 0.000, 0.827)

Most intense lines, 2θ = 15–90°, in order of rising 2θ:
- 3.414 Å, 26.1°, I 65.2
- 3.401 Å, 26.2°, I 50.1
- 2.776 Å, 32.2°, I 77.4
- 2.580 Å, 34.8°, I 100.0
- 2.156 Å, 41.9°, I 28.5
- 1.763 Å, 51.9°, I 23.2
- 1.703 Å, 53.8°, I 19.1
- 1.569 Å, 58.9°, I 20.9
- 1.564 Å, 59.1°, I 20.7
- 1.561 Å, 59.2°, I 20.5

=====

# 3
Diffraction record for Y2Ta2Cl2O7. The X-ray powder pattern is simulated, not measured: it uses a structure optimized by DFT (PBE) and Cu Kα (λ = 1.5418 Å).
Neutral-atom scattering factors, no anomalous dispersion.

Crystal structure
a b c (Å): 7.851 7.851 6.829
angles (deg): 113.45 113.45 28.70
Fractional coordinates of all 13 atoms:
Y (0.196, 0.196, 0.163)
Y (0.804, 0.804, 0.837)
Ta (0.465, 0.465, 0.198)
Ta (0.535, 0.535, 0.802)
Cl (0.181, 0.181, 0.565)
Cl (0.819, 0.819, 0.435)
O (0.049, 0.049, 0.847)
O (0.321, 0.321, 0.063)
O (0.415, 0.415, 0.841)
O (0.500, 0.500, 0.500)
O (0.585, 0.585, 0.159)
O (0.679, 0.679, 0.937)
O (0.951, 0.951, 0.153)

Most intense lines, 2θ = 15–90°, in order of rising 2θ:
- 3.750 Å, 23.7°, I 100.0
- 3.063 Å, 29.2°, I 39.0
- 3.012 Å, 29.7°, I 69.2
- 2.977 Å, 30.0°, I 97.7
- 2.608 Å, 34.4°, I 31.5
- 2.536 Å, 35.4°, I 75.6
- 2.075 Å, 43.6°, I 25.6
- 1.946 Å, 46.7°, I 33.1
- 1.855 Å, 49.1°, I 25.7
- 1.524 Å, 60.8°, I 23.8

=====

# 4
Diffraction record for Zn3Te2Cl2O6. The X-ray powder pattern is simulated, not measured: it uses a structure optimized by DFT (PBE) and Cu Kα (λ = 1.5418 Å).
Neutral-atom scattering factors, no anomalous dispersion.

Crystal structure
a b c (Å): 5.703 5.703 7.753
angles (deg): 105.66 105.66 68.88
Fractional coordinates of all 13 atoms:
Zn (0.000, 0.000, 0.000)
Zn (0.425, 0.425, 0.155)
Zn (0.575, 0.575, 0.845)
Te (0.160, 0.160, 0.718)
Te (0.840, 0.840, 0.282)
Cl (0.284, 0.284, 0.362)
Cl (0.716, 0.716, 0.638)
O (0.110, 0.724, 0.148)
O (0.276, 0.890, 0.852)
O (0.362, 0.362, 0.866)
O (0.638, 0.638, 0.134)
O (0.724, 0.110, 0.148)
O (0.890, 0.276, 0.852)

Most intense lines, 2θ = 15–90°, in order of rising 2θ:
- 4.700 Å, 18.9°, I 30.1
- 3.663 Å, 24.3°, I 23.9
- 3.345 Å, 26.7°, I 100.0
- 3.225 Å, 27.7°, I 77.1
- 2.564 Å, 35.0°, I 64.0
- 2.396 Å, 37.5°, I 53.6
- 2.322 Å, 38.8°, I 45.1
- 1.799 Å, 50.7°, I 25.8
- 1.704 Å, 53.8°, I 24.1
- 1.652 Å, 55.6°, I 22.0

=====

# 5
Diffraction record for Zr2Te4Cl2O11. The X-ray powder pattern is simulated, not measured: it uses a structure optimized by DFT (PBE) and Cu Kα (λ = 1.5418 Å).
Neutral-atom scattering factors, no anomalous dispersion.

Crystal structure
a b c (Å): 7.810 9.299 10.205
angles (deg): 110.01 107.88 98.38
Fractional coordinates of all 38 atoms:
Zr (0.112, 0.387, 0.378)
Zr (0.373, 0.110, 0.109)
Zr (0.627, 0.890, 0.891)
Zr (0.888, 0.613, 0.622)
Te (0.011, 0.273, 0.997)
Te (0.220, 0.028, 0.731)
Te (0.262, 0.497, 0.792)
Te (0.478, 0.771, 0.462)
Te (0.522, 0.229, 0.538)
Te (0.738, 0.503, 0.208)
Te (0.780, 0.972, 0.269)
Te (0.989, 0.727, 0.003)
Cl (0.100, 0.876, 0.374)
Cl (0.368, 0.604, 0.109)
Cl (0.632, 0.396, 0.891)
Cl (0.900, 0.124, 0.626)
O (0.070, 0.601, 0.834)
O (0.070, 0.828, 0.677)
O (0.107, 0.490, 0.600)
O (0.175, 0.910, 0.060)
O (0.178, 0.143, 0.915)
O (0.181, 0.259, 0.175)
O (0.295, 0.587, 0.414)
O (0.321, 0.320, 0.519)
O (0.417, 0.015, 0.893)
O (0.444, 0.675, 0.834)
O (0.491, 0.127, 0.334)
O (0.509, 0.873, 0.666)
O (0.556, 0.325, 0.166)
O (0.583, 0.985, 0.107)
O (0.679, 0.680, 0.481)
O (0.705, 0.413, 0.586)
O (0.819, 0.741, 0.825)
O (0.822, 0.857, 0.085)
O (0.825, 0.090, 0.940)
O (0.893, 0.510, 0.400)
O (0.930, 0.172, 0.323)
O (0.930, 0.399, 0.166)

Most intense lines, 2θ = 15–90°, in order of rising 2θ:
- 4.738 Å, 18.7°, I 13.9
- 3.684 Å, 24.2°, I 100.0
- 3.588 Å, 24.8°, I 16.2
- 3.195 Å, 27.9°, I 97.8
- 2.648 Å, 33.9°, I 23.6
- 2.564 Å, 35.0°, I 19.7
- 2.556 Å, 35.1°, I 20.2
- 2.369 Å, 38.0°, I 14.0
- 2.003 Å, 45.3°, I 17.8
- 1.897 Å, 48.0°, I 17.3

=====

# 6
Diffraction record for TmClO. The X-ray powder pattern is simulated, not measured: it uses a structure optimized by DFT (PBE) and Cu Kα (λ = 1.5418 Å).
Neutral-atom scattering factors, no anomalous dispersion.

Crystal structure
a b c (Å): 3.693 4.111 8.177
angles (deg): 90.00 90.00 90.00
Fractional coordinates of all 6 atoms:
Tm (0.250, 0.250, 0.126)
Tm (0.750, 0.750, 0.874)
Cl (0.250, 0.750, 0.644)
Cl (0.750, 0.250, 0.356)
O (0.250, 0.750, 0.033)
O (0.750, 0.250, 0.967)

Most intense lines, 2θ = 15–90°, in order of rising 2θ:
- 3.673 Å, 24.2°, I 79.7
- 3.366 Å, 26.5°, I 26.4
- 2.899 Å, 30.8°, I 31.9
- 2.742 Å, 32.7°, I 100.0
- 2.604 Å, 34.4°, I 46.1
- 2.056 Å, 44.1°, I 18.1
- 1.935 Å, 47.0°, I 34.7
- 1.650 Å, 55.7°, I 15.7
- 1.644 Å, 55.9°, I 32.0
- 1.640 Å, 56.1°, I 19.4

=====

# 7
Diffraction record for YTmCl2O2. The X-ray powder pattern is simulated, not measured: it uses a structure optimized by DFT (PBE) and Cu Kα (λ = 1.5418 Å).
Neutral-atom scattering factors, no anomalous dispersion.

Crystal structure
a b c (Å): 3.792 3.792 7.339
angles (deg): 90.00 90.00 90.00
Fractional coordinates of all 6 atoms:
Y (0.000, 0.000, 0.000)
Tm (0.500, 0.500, 0.311)
Cl (0.000, 0.000, 0.511)
Cl (0.500, 0.500, 0.807)
O (0.000, 0.500, 0.161)
O (0.500, 0.000, 0.161)

Most intense lines, 2θ = 15–90°, in order of rising 2θ:
- 3.369 Å, 26.5°, I 51.7
- 2.681 Å, 33.4°, I 48.0
- 2.637 Å, 34.0°, I 100.0
- 2.165 Å, 41.7°, I 15.9
- 1.896 Å, 48.0°, I 24.8
- 1.807 Å, 50.5°, I 16.5
- 1.652 Å, 55.6°, I 27.0
- 1.539 Å, 60.1°, I 36.6
- 1.514 Å, 61.2°, I 14.0
- 1.245 Å, 76.5°, I 12.6

=====

# 8
Diffraction record for OsCl. The X-ray powder pattern is simulated, not measured: it uses a structure optimized by DFT (PBE) and Cu Kα (λ = 1.5418 Å).
Neutral-atom scattering factors, no anomalous dispersion.

Crystal structure
a b c (Å): 2.823 2.823 9.332
angles (deg): 90.00 90.00 120.00
Fractional coordinates of all 4 atoms:
Os (0.333, 0.667, 0.000)
Os (0.667, 0.333, 0.500)
Cl (0.333, 0.667, 0.765)
Cl (0.667, 0.333, 0.265)

Most intense lines, 2θ = 15–90°, in order of rising 2θ:
- 4.666 Å, 19.0°, I 74.0
- 2.444 Å, 36.8°, I 24.2
- 2.365 Å, 38.1°, I 100.0
- 2.333 Å, 38.6°, I 27.6
- 2.165 Å, 41.7°, I 16.3
- 1.922 Å, 47.3°, I 47.3
- 1.688 Å, 54.4°, I 15.2
- 1.483 Å, 62.6°, I 26.2
- 1.411 Å, 66.2°, I 17.1
- 1.208 Å, 79.3°, I 20.3

=====

# 9
Diffraction record for OsCl6. The X-ray powder pattern is simulated, not measured: it uses a structure optimized by DFT (PBE) and Cu Kα (λ = 1.5418 Å).
Neutral-atom scattering factors, no anomalous dispersion.

Crystal structure
a b c (Å): 5.938 5.938 11.085
angles (deg): 90.33 90.33 115.25
Fractional coordinates of all 14 atoms:
Os (0.166, 0.834, 0.750)
Os (0.834, 0.166, 0.250)
Cl (0.133, 0.465, 0.136)
Cl (0.140, 0.148, 0.371)
Cl (0.148, 0.140, 0.871)
Cl (0.186, 0.531, 0.627)
Cl (0.465, 0.133, 0.636)
Cl (0.469, 0.814, 0.873)
Cl (0.531, 0.186, 0.127)
Cl (0.535, 0.867, 0.364)
Cl (0.814, 0.469, 0.373)
Cl (0.852, 0.860, 0.129)
Cl (0.860, 0.852, 0.629)
Cl (0.867, 0.535, 0.864)

Most intense lines, 2θ = 15–90°, in order of rising 2θ:
- 5.542 Å, 16.0°, I 87.0
- 5.370 Å, 16.5°, I 45.1
- 4.850 Å, 18.3°, I 93.4
- 4.816 Å, 18.4°, I 100.0
- 4.569 Å, 19.4°, I 77.6
- 2.771 Å, 32.3°, I 50.2
- 2.605 Å, 34.4°, I 97.7
- 2.028 Å, 44.7°, I 29.1
- 2.018 Å, 44.9°, I 31.2
- 1.790 Å, 51.0°, I 27.4

=====

# 10
Diffraction record for Os3Cl2. The X-ray powder pattern is simulated, not measured: it uses a structure optimized by DFT (PBE) and Cu Kα (λ = 1.5418 Å).
Neutral-atom scattering factors, no anomalous dispersion.

Crystal structure
a b c (Å): 5.415 5.415 5.415
angles (deg): 80.93 80.93 80.93
Fractional coordinates of all 10 atoms:
Os (0.118, 0.750, 0.382)
Os (0.250, 0.618, 0.882)
Os (0.382, 0.118, 0.750)
Os (0.618, 0.882, 0.250)
Os (0.750, 0.382, 0.118)
Os (0.882, 0.250, 0.618)
Cl (0.131, 0.131, 0.131)
Cl (0.369, 0.369, 0.369)
Cl (0.631, 0.631, 0.631)
Cl (0.869, 0.869, 0.869)

Most intense lines, 2θ = 15–90°, in order of rising 2θ:
- 3.514 Å, 25.3°, I 21.1
- 2.510 Å, 35.8°, I 100.0
- 2.250 Å, 40.1°, I 8.8
- 2.029 Å, 44.7°, I 38.7
- 1.793 Å, 50.9°, I 8.6
- 1.597 Å, 57.7°, I 9.6
- 1.578 Å, 58.5°, I 19.1
- 1.343 Å, 70.0°, I 15.0
- 1.245 Å, 76.5°, I 11.7
- 1.131 Å, 85.9°, I 8.6

=====

# 11
Diffraction record for OsSe2Cl12. The X-ray powder pattern is simulated, not measured: it uses a structure optimized by DFT (PBE) and Cu Kα (λ = 1.5418 Å).
Neutral-atom scattering factors, no anomalous dispersion.

Crystal structure
a b c (Å): 12.483 12.244 8.640
angles (deg): 71.04 68.07 40.89
Fractional coordinates of all 30 atoms:
Os (0.000, 0.000, 0.000)
Os (0.250, 0.250, 0.250)
Se (0.064, 0.603, 0.884)
Se (0.366, 0.801, 0.186)
Se (0.603, 0.064, 0.449)
Se (0.801, 0.366, 0.647)
Cl (0.038, 0.473, 0.800)
Cl (0.041, 0.962, 0.265)
Cl (0.120, 0.731, 0.037)
Cl (0.137, 0.213, 0.519)
Cl (0.191, 0.626, 0.635)
Cl (0.213, 0.137, 0.130)
Cl (0.266, 0.889, 0.883)
Cl (0.289, 0.367, 0.361)
Cl (0.358, 0.799, 0.446)
Cl (0.367, 0.289, 0.984)
Cl (0.450, 0.561, 0.212)
Cl (0.473, 0.038, 0.689)
Cl (0.517, 0.985, 0.288)
Cl (0.561, 0.450, 0.777)
Cl (0.615, 0.701, 0.059)
Cl (0.626, 0.191, 0.549)
Cl (0.701, 0.615, 0.624)
Cl (0.731, 0.120, 0.113)
Cl (0.799, 0.358, 0.398)
Cl (0.804, 0.852, 0.892)
Cl (0.852, 0.804, 0.451)
Cl (0.889, 0.266, 0.961)
Cl (0.962, 0.041, 0.733)
Cl (0.985, 0.517, 0.209)

Most intense lines, 2θ = 15–90°, in order of rising 2θ:
- 5.509 Å, 16.1°, I 48.9
- 5.465 Å, 16.2°, I 36.3
- 5.147 Å, 17.2°, I 100.0
- 3.913 Å, 22.7°, I 40.4
- 3.361 Å, 26.5°, I 50.1
- 2.791 Å, 32.1°, I 24.9
- 2.754 Å, 32.5°, I 50.0
- 2.701 Å, 33.2°, I 23.3
- 2.152 Å, 42.0°, I 31.8
- 2.136 Å, 42.3°, I 48.5

=====

# 12
Diffraction record for Re2PCl13. The X-ray powder pattern is simulated, not measured: it uses a structure optimized by DFT (PBE) and Cu Kα (λ = 1.5418 Å).
Neutral-atom scattering factors, no anomalous dispersion.

Crystal structure
a b c (Å): 8.693 10.528 9.431
angles (deg): 90.00 99.61 90.00
Fractional coordinates of all 32 atoms:
Re (0.169, 0.250, 0.095)
Re (0.323, 0.250, 0.865)
Re (0.677, 0.750, 0.135)
Re (0.831, 0.750, 0.905)
P (0.259, 0.750, 0.493)
P (0.741, 0.250, 0.507)
Cl (0.100, 0.750, 0.929)
Cl (0.146, 0.084, 0.916)
Cl (0.146, 0.416, 0.916)
Cl (0.182, 0.750, 0.287)
Cl (0.186, 0.598, 0.583)
Cl (0.186, 0.902, 0.583)
Cl (0.191, 0.094, 0.271)
Cl (0.191, 0.406, 0.271)
Cl (0.196, 0.250, 0.626)
Cl (0.452, 0.250, 0.112)
Cl (0.488, 0.750, 0.524)
Cl (0.490, 0.092, 0.817)
Cl (0.490, 0.408, 0.817)
Cl (0.510, 0.592, 0.183)
Cl (0.510, 0.908, 0.183)
Cl (0.512, 0.250, 0.476)
Cl (0.548, 0.750, 0.888)
Cl (0.804, 0.750, 0.374)
Cl (0.809, 0.594, 0.729)
Cl (0.809, 0.906, 0.729)
Cl (0.814, 0.098, 0.417)
Cl (0.814, 0.402, 0.417)
Cl (0.818, 0.250, 0.713)
Cl (0.854, 0.584, 0.084)
Cl (0.854, 0.916, 0.084)
Cl (0.900, 0.250, 0.071)

Most intense lines, 2θ = 15–90°, in order of rising 2θ:
- 5.772 Å, 15.3°, I 25.4
- 5.264 Å, 16.8°, I 65.0
- 5.104 Å, 17.4°, I 100.0
- 4.581 Å, 19.4°, I 18.5
- 4.285 Å, 20.7°, I 13.2
- 3.008 Å, 29.7°, I 16.6
- 2.684 Å, 33.4°, I 14.5
- 2.109 Å, 42.9°, I 22.8
- 1.950 Å, 46.6°, I 15.3
- 1.906 Å, 47.7°, I 16.0